Theoretical powder diffraction line list
Compound: CaY5Ru4
Radiation: a wavelength of 1.5418 Å
Structure: a structure optimized by DFT (GGA-PBE)
No peak broadening, texture or thermal motion is included.

Structural model:
Cell lengths 3.4431, 3.4431, 19.5140 Å; angles 90.00, 90.00, 90.00 degrees
Atoms (fractional coordinates):
Ca 0.0000 0.0000 0.0000
Y 0.5000 0.5000 0.1554
Y 0.5000 0.5000 0.3273
Y 0.5000 0.5000 0.5000
Y 0.5000 0.5000 0.6727
Y 0.5000 0.5000 0.8446
Ru 0.0000 0.0000 0.2338
Ru 0.0000 0.0000 0.4128
Ru 0.0000 0.0000 0.5872
Ru 0.0000 0.0000 0.7662

Most intense lines, 2θ from 5° to 70°, by angle:
Position (°2θ)	I_rel
9.06	26
31.81	13
34.74	56
36.92	75
38.06	100
51.52	7
53.21	26
65.09	30
67.28	35
69.51	12

=====

Theoretical powder diffraction line list
Compound: AsH2Pd8
Radiation: a wavelength of 1.5418 Å
Structure: a structure optimized by DFT (GGA-PBE)
No peak broadening, texture or thermal motion is included.

Structural model:
Cell lengths 5.8029, 5.8029, 5.3064 Å; angles 90.00, 90.00, 120.00 degrees
Atoms (fractional coordinates):
As 0.0000 0.0000 0.0000
H 0.3333 0.6667 0.1041
H 0.6667 0.3333 0.8959
Pd 0.1746 0.3493 0.2956
Pd 0.1746 0.8254 0.2956
Pd 0.3333 0.6667 0.7654
Pd 0.3493 0.1746 0.7044
Pd 0.6507 0.8254 0.2956
Pd 0.6667 0.3333 0.2346
Pd 0.8254 0.1746 0.7044
Pd 0.8254 0.6507 0.7044

Most intense lines, 2θ from 5° to 70°, by angle:
Position (°2θ)	I_rel
33.78	22
35.25	7
35.73	16
38.36	8
39.69	100
49.99	26
51.68	4
57.71	3
64.20	19
64.42	14

=====

What did the first record say?
Theoretical powder diffraction line list
Compound: CaY5Ru4
Radiation: a wavelength of 1.5418 Å
Structure: a structure optimized by DFT (GGA-PBE)
No peak broadening, texture or thermal motion is included.

Structural model:
Cell lengths 3.4431, 3.4431, 19.5140 Å; angles 90.00, 90.00, 90.00 degrees
Atoms (fractional coordinates):
Ca 0.0000 0.0000 0.0000
Y 0.5000 0.5000 0.1554
Y 0.5000 0.5000 0.3273
Y 0.5000 0.5000 0.5000
Y 0.5000 0.5000 0.6727
Y 0.5000 0.5000 0.8446
Ru 0.0000 0.0000 0.2338
Ru 0.0000 0.0000 0.4128
Ru 0.0000 0.0000 0.5872
Ru 0.0000 0.0000 0.7662

Most intense lines, 2θ from 5° to 70°, by angle:
Position (°2θ)	I_rel
9.06	26
31.81	13
34.74	56
36.92	75
38.06	100
51.52	7
53.21	26
65.09	30
67.28	35
69.51	12

=====

Number 2 is which compound?
AsH2Pd8